The following is a calculated powder X-ray diffraction pattern of Y2Mg. It was derived from DFT lattice parameters and positions (PBE), using copper Kα.
Kinematic intensities with the Lorentz-polarization factor, no thermal factor.

Most intense lines, 2θ = 10–90°, sorted by position:
- (0 2 0), d 8.715, 10.1°, rel. 34
- (1 3 0), d 3.131, 28.5°, rel. 24
- (1 1 1), d 3.045, 29.3°, rel. 20
- (0 0 2), d 2.787, 32.1°, rel. 35
- (1 3 1), d 2.730, 32.8°, rel. 100
- (0 6 1), d 2.576, 34.8°, rel. 41
- (1 9 0), d 1.718, 53.3°, rel. 15
- (1 3 3), d 1.598, 57.7°, rel. 19
- (2 6 1), d 1.507, 61.5°, rel. 15
- (1 9 2), d 1.462, 63.6°, rel. 18

Unit cell a=3.717 b=17.431 c=5.575 alpha=90.00 beta=90.00 gamma=90.00
Element x y z (fractional)
Y 0.000 0.060 0.250
Y 0.000 0.385 0.250
Y 0.000 0.615 0.750
Y 0.000 0.940 0.750
Y 0.500 0.115 0.750
Y 0.500 0.440 0.750
Y 0.500 0.560 0.250
Y 0.500 0.885 0.250
Mg 0.000 0.277 0.750
Mg 0.000 0.723 0.250
Mg 0.500 0.223 0.250
Mg 0.500 0.777 0.750

***

The following is a calculated powder X-ray diffraction pattern of Y2Mg. It was derived from DFT lattice parameters and positions (PBE), using copper Kα.
Kinematic intensities with the Lorentz-polarization factor, no thermal factor.

Most intense lines, 2θ = 10–90°, sorted by position:
- (2 0 -1), d 5.650, 15.7°, rel. 27
- (1 1 1), d 3.032, 29.5°, rel. 33
- (2 0 2), d 2.983, 30.0°, rel. 28
- (4 0 -2), d 2.825, 31.7°, rel. 48
- (1 1 -2), d 2.681, 33.4°, rel. 73
- (3 1 0), d 2.661, 33.7°, rel. 100
- (4 0 1), d 2.620, 34.2°, rel. 25
- (3 1 3), d 1.732, 52.9°, rel. 22
- (5 1 -4), d 1.605, 57.4°, rel. 17
- (7 1 1), d 1.467, 63.4°, rel. 19

Unit cell a=12.693 b=3.521 c=8.285 alpha=90.00 beta=105.90 gamma=90.00
Element x y z (fractional)
Y 0.000 0.000 0.000
Y 0.032 0.000 0.597
Y 0.165 0.500 0.335
Y 0.312 0.000 0.682
Y 0.500 0.500 0.000
Y 0.532 0.500 0.597
Y 0.665 0.000 0.335
Y 0.812 0.500 0.682
Mg 0.214 0.500 0.951
Mg 0.381 0.000 0.265
Mg 0.714 0.000 0.951
Mg 0.881 0.500 0.265

***

The following is a calculated powder X-ray diffraction pattern of Y5Mg. It was derived from DFT lattice parameters and positions (PBE), using copper Kα.
Kinematic intensities with the Lorentz-polarization factor, no thermal factor.

Most intense lines, 2θ = 10–90°, sorted by position:
- (1 1 1), d 3.102, 28.8°, rel. 23
- (2 0 2), d 3.079, 29.0°, rel. 15
- (4 0 -2), d 2.815, 31.8°, rel. 35
- (3 1 0), d 2.716, 33.0°, rel. 100
- (0 0 3), d 2.702, 33.2°, rel. 43
- (3 1 -3), d 2.084, 43.4°, rel. 13
- (3 1 3), d 1.782, 51.3°, rel. 17
- (5 1 -4), d 1.605, 57.4°, rel. 23
- (4 2 -2), d 1.513, 61.3°, rel. 10
- (1 1 -5), d 1.508, 61.5°, rel. 10

Unit cell a=12.815 b=3.589 c=8.358 alpha=90.00 beta=103.82 gamma=90.00
Element x y z (fractional)
Y 0.000 0.000 0.000
Y 0.044 0.000 0.612
Y 0.154 0.500 0.338
Y 0.323 0.000 0.676
Y 0.376 0.000 0.269
Y 0.500 0.500 0.000
Y 0.544 0.500 0.612
Y 0.654 0.000 0.338
Y 0.823 0.500 0.676
Y 0.876 0.500 0.269
Mg 0.216 0.500 0.948
Mg 0.716 0.000 0.948

***

The following is a calculated powder X-ray diffraction pattern of Y2Mg. It was derived from DFT lattice parameters and positions (PBE), using copper Kα.
Kinematic intensities with the Lorentz-polarization factor, no thermal factor.

Most intense lines, 2θ = 10–90°, sorted by position:
- (1 1 1), d 3.557, 25.0°, rel. 26
- (3 1 1), d 2.797, 32.0°, rel. 100
- (0 0 2), d 2.618, 34.2°, rel. 43
- (6 0 0), d 2.134, 42.4°, rel. 10
- (4 2 0), d 2.027, 44.7°, rel. 10
- (0 2 2), d 1.851, 49.2°, rel. 15
- (6 0 2), d 1.654, 55.6°, rel. 18
- (7 1 1), d 1.641, 56.0°, rel. 13
- (3 1 3), d 1.544, 59.9°, rel. 31
- (6 2 2), d 1.398, 66.9°, rel. 10

Unit cell a=12.804 b=5.237 c=5.236 alpha=90.00 beta=90.00 gamma=90.00
Element x y z (fractional)
Y 0.156 0.247 0.250
Y 0.156 0.753 0.750
Y 0.344 0.253 0.750
Y 0.344 0.747 0.250
Y 0.656 0.253 0.750
Y 0.656 0.747 0.250
Y 0.844 0.247 0.250
Y 0.844 0.753 0.750
Mg 0.000 0.259 0.750
Mg 0.000 0.741 0.250
Mg 0.500 0.241 0.250
Mg 0.500 0.759 0.750